Entry 1:
Theoretical X-ray powder pattern of HoBe8As6 for CuKα, from a cell relaxed with GGA-PBE.

The 10 most intense peaks (2θ = 10–80°), in order of falling intensity:
34.43 deg, I = 100; 29.33 deg, I = 92; 26.79 deg, I = 89; 40.14 deg, I = 75; 31.04 deg, I = 72; 47.33 deg, I = 67; 56.66 deg, I = 56; 43.23 deg, I = 53; 27.80 deg, I = 40; 21.23 deg, I = 39

Atomic structure:
abc: 6.6544 6.6544 12.1809
angles: 90.00 90.00 120.00
Element x y z (fractional)
Ho1 0.0000 0.0000 0.0000
Ho2 0.0000 0.0000 0.5000
Be1 0.0000 0.3591 0.1614
Be2 0.0000 0.3700 0.3407
Be3 0.0000 0.6300 0.8407
Be4 0.0000 0.6409 0.6614
Be5 0.3333 0.6667 0.4345
Be6 0.3333 0.6667 0.9345
Be7 0.3591 0.0000 0.1614
Be8 0.3591 0.3591 0.6614
Be9 0.3700 0.0000 0.3407
Be10 0.3700 0.3700 0.8407
Be11 0.6300 0.0000 0.8407
Be12 0.6300 0.6300 0.3407
Be13 0.6409 0.0000 0.6614
Be14 0.6409 0.6409 0.1614
Be15 0.6667 0.3333 0.4345
Be16 0.6667 0.3333 0.9345
As1 0.0000 0.0000 0.2499
As2 0.0000 0.0000 0.7499
As3 0.0000 0.4160 0.5193
As4 0.0000 0.5840 0.0193
As5 0.3333 0.6667 0.2475
As6 0.3333 0.6667 0.7475
As7 0.4160 0.0000 0.5193
As8 0.4160 0.4160 0.0193
As9 0.5840 0.0000 0.0193
As10 0.5840 0.5840 0.5193
As11 0.6667 0.3333 0.2475
As12 0.6667 0.3333 0.7475

=====

Entry 2:
Theoretical X-ray powder pattern of ErTm3Cd4 for CuKα, from a cell relaxed with GGA-PBE.

The 10 most intense peaks (2θ = 10–80°), in order of falling intensity:
34.21 deg, I = 100; 34.43 deg, I = 49; 61.54 deg, I = 36; 61.10 deg, I = 18; 49.49 deg, I = 17; 72.06 deg, I = 11; 48.82 deg, I = 9; 72.59 deg, I = 5; 24.16 deg, I = 4; 23.85 deg, I = 2

Atomic structure:
abc: 5.2092 5.2092 7.4621
angles: 90.00 90.00 90.00
Element x y z (fractional)
Er1 0.0000 0.0000 0.0000
Tm1 0.0000 0.0000 0.5000
Tm2 0.5000 0.5000 0.0000
Tm3 0.5000 0.5000 0.5000
Cd1 0.0000 0.5000 0.2511
Cd2 0.0000 0.5000 0.7489
Cd3 0.5000 0.0000 0.2511
Cd4 0.5000 0.0000 0.7489

=====

Entry 3:
Theoretical X-ray powder pattern of KSrNp4N8 for CuKα, from a cell relaxed with GGA-PBE.

The 10 most intense peaks (2θ = 10–80°), in order of falling intensity:
14.04 deg, I = 100; 31.25 deg, I = 50; 35.41 deg, I = 49; 30.14 deg, I = 48; 28.30 deg, I = 25; 38.26 deg, I = 20; 45.13 deg, I = 19; 52.81 deg, I = 19; 54.93 deg, I = 19; 60.99 deg, I = 18

Atomic structure:
abc: 7.4712 7.4712 7.4712
angles: 55.30 55.30 55.30
Element x y z (fractional)
K1 0.0000 0.0000 0.0000
Sr1 0.6485 0.6485 0.6485
Np1 0.1533 0.6510 0.6510
Np2 0.1713 0.1713 0.1713
Np3 0.6510 0.1533 0.6510
Np4 0.6510 0.6510 0.1533
N1 0.3897 0.3897 0.8527
N2 0.3897 0.8527 0.3897
N3 0.4375 0.9375 0.9375
N4 0.4380 0.4380 0.4380
N5 0.8527 0.3897 0.3897
N6 0.8648 0.8648 0.8648
N7 0.9375 0.4375 0.9375
N8 0.9375 0.9375 0.4375

=====

Entry 4:
Theoretical X-ray powder pattern of SrLi9Cd2 for CuKα, from a cell relaxed with GGA-PBE.

The 10 most intense peaks (2θ = 10–80°), in order of falling intensity:
20.40 deg, I = 100; 29.61 deg, I = 45; 27.74 deg, I = 39; 41.48 deg, I = 32; 30.21 deg, I = 32; 42.82 deg, I = 16; 21.24 deg, I = 15; 35.98 deg, I = 15; 52.55 deg, I = 14; 13.77 deg, I = 14

Atomic structure:
abc: 9.2015 9.2015 9.2015
angles: 99.98 99.98 130.80
Element x y z (fractional)
Sr1 0.3750 0.6250 0.7500
Sr2 0.6250 0.3750 0.2500
Li1 0.1250 0.8750 0.2500
Li2 0.1414 0.5640 0.3301
Li3 0.1414 0.8113 0.5775
Li4 0.1887 0.2661 0.3301
Li5 0.1887 0.8586 0.9225
Li6 0.2661 0.1887 0.8301
Li7 0.2661 0.4360 0.0775
Li8 0.4360 0.2661 0.5775
Li9 0.4360 0.8586 0.1699
Li10 0.5640 0.1414 0.8301
Li11 0.5640 0.7339 0.4225
Li12 0.7339 0.5640 0.9225
Li13 0.7339 0.8113 0.1699
Li14 0.8113 0.1414 0.0775
Li15 0.8113 0.7339 0.6699
Li16 0.8586 0.1887 0.4225
Li17 0.8586 0.4360 0.6699
Li18 0.8750 0.1250 0.7500
Cd1 0.0000 0.0000 0.0000
Cd2 0.0000 0.0000 0.5000
Cd3 0.0000 0.5000 0.0000
Cd4 0.5000 0.0000 0.5000

=====

Entry 5:
Theoretical X-ray powder pattern of Sn2H2Se3 for CuKα, from a cell relaxed with GGA-PBE.

The 10 most intense peaks (2θ = 10–80°), in order of falling intensity:
34.53 deg, I = 100; 18.84 deg, I = 79; 28.75 deg, I = 63; 20.84 deg, I = 47; 34.82 deg, I = 47; 36.98 deg, I = 35; 35.45 deg, I = 29; 31.33 deg, I = 26; 52.82 deg, I = 24; 46.18 deg, I = 24

Atomic structure:
abc: 3.9316 5.0972 8.8857
angles: 79.78 77.36 89.98
Element x y z (fractional)
Sn1 0.1235 0.1370 0.2485
Sn2 0.8765 0.8630 0.7515
H1 0.4130 0.3581 0.6742
H2 0.5870 0.6419 0.3258
Se1 0.3352 0.4347 0.8342
Se2 0.5000 0.0000 0.5000
Se3 0.6648 0.5653 0.1658

=====

Entry 6:
Theoretical X-ray powder pattern of MgNbRh4 for CuKα, from a cell relaxed with GGA-PBE.

The 10 most intense peaks (2θ = 10–80°), in order of falling intensity:
41.92 deg, I = 100; 40.36 deg, I = 34; 43.19 deg, I = 32; 74.45 deg, I = 18; 37.95 deg, I = 17; 36.53 deg, I = 17; 67.63 deg, I = 13; 12.44 deg, I = 12; 56.59 deg, I = 11; 55.56 deg, I = 10

Atomic structure:
abc: 2.8774 4.4697 7.2550
angles: 90.00 101.37 90.00
Element x y z (fractional)
Mg1 0.0000 0.0000 0.0000
Nb1 0.2138 0.5000 0.4289
Rh1 0.3327 0.0000 0.6661
Rh2 0.5465 0.5000 0.0933
Rh3 0.6664 0.0000 0.3339
Rh4 0.8750 0.5000 0.7516